Structure and theoretical X-ray diffraction stick pattern of MgNb2Co3Bi3 (the GGA-PBE geometry in OQMD; Cu Ka).
Neutral-atom scattering factors, no anomalous dispersion.

The 6 most intense peaks (2θ = 10–90°), low angle first:
- d = 3.528 Å, I = 36
- d = 3.053 Å, I = 54
- d = 2.159 Å, I = 100
- d = 1.842 Å, I = 17
- d = 1.526 Å, I = 16
- d = 1.247 Å, I = 24

```
data_MgNb2Co3Bi3
_chemical_formula_sum 'Mg4 Nb8 Co12 Bi12'
_cell_length_a 7.4862
_cell_length_b 12.9595
_cell_length_c 7.4680
_cell_angle_alpha 90.00
_cell_angle_beta 109.50
_cell_angle_gamma 90.00
_space_group_name_H-M_alt 'C 1 c 1'
_space_group_IT_number 9
_space_group_name_Hall 'C -2yc'
loop_
_atom_site_label
_atom_site_fract_x
_atom_site_fract_y
_atom_site_fract_z
Mg1 0.0000 0.0855 0.0000
Nb1 0.0000 0.2512 0.5067
Nb2 0.0070 0.4164 0.0064
Co1 0.3629 0.4058 0.1145
Co2 0.3716 0.2404 0.6376
Co3 0.3966 0.0836 0.1377
Bi1 0.2434 0.0781 0.7563
Bi2 0.2494 0.2466 0.2583
Bi3 0.2637 0.4190 0.7483
```

***

Structure and theoretical X-ray diffraction stick pattern of MgTa2Co3Bi3 (the GGA-PBE geometry in OQMD; Cu Ka).
Neutral-atom scattering factors, no anomalous dispersion.

The 6 most intense peaks (2θ = 10–90°), low angle first:
- d = 3.528 Å, I = 14
- d = 3.052 Å, I = 62
- d = 2.158 Å, I = 100
- d = 1.763 Å, I = 13
- d = 1.526 Å, I = 16
- d = 1.247 Å, I = 13

```
data_MgTa2Co3Bi3
_chemical_formula_sum 'Mg4 Ta8 Co12 Bi12'
_cell_length_a 7.4845
_cell_length_b 12.9543
_cell_length_c 7.4620
_cell_angle_alpha 90.00
_cell_angle_beta 109.50
_cell_angle_gamma 90.00
_space_group_name_H-M_alt 'C 1 c 1'
_space_group_IT_number 9
_space_group_name_Hall 'C -2yc'
loop_
_atom_site_label
_atom_site_fract_x
_atom_site_fract_y
_atom_site_fract_z
Mg1 0.0000 0.0861 0.0000
Ta1 0.9999 0.2519 0.4925
Ta2 0.4924 0.0835 0.4927
Co1 0.1013 0.4164 0.3611
Co2 0.1286 0.2604 0.8612
Co3 0.1379 0.0951 0.3856
Bi1 0.2345 0.0810 0.7511
Bi2 0.2506 0.2539 0.2408
Bi3 0.2570 0.4225 0.7431
```

***

Structure and theoretical X-ray diffraction stick pattern of Y4CoBiN2 (the GGA-PBE geometry in OQMD; Cu Ka).
Neutral-atom scattering factors, no anomalous dispersion.

The 6 most intense peaks (2θ = 10–90°), low angle first:
- d = 3.073 Å, I = 29
- d = 2.831 Å, I = 26
- d = 2.595 Å, I = 100
- d = 2.112 Å, I = 16
- d = 1.774 Å, I = 26
- d = 1.465 Å, I = 17

```
data_Y4CoBiN2
_chemical_formula_sum 'Y4 Co1 Bi1 N2'
_cell_length_a 3.5490
_cell_length_b 3.5490
_cell_length_c 14.5322
_cell_angle_alpha 90.00
_cell_angle_beta 90.00
_cell_angle_gamma 120.00
_space_group_name_H-M_alt 'P -6 m 2'
_space_group_IT_number 187
_space_group_name_Hall 'P -6 2'
loop_
_atom_site_label
_atom_site_fract_x
_atom_site_fract_y
_atom_site_fract_z
Y1 0.0000 0.0000 0.1317
Y2 0.3333 0.6667 0.3210
Co1 0.3333 0.6667 0.0000
Bi1 0.0000 0.0000 0.5000
N1 0.6667 0.3333 0.2432
```

***

Structure and theoretical X-ray diffraction stick pattern of NaCo3Bi5 (the GGA-PBE geometry in OQMD; Cu Ka).
Neutral-atom scattering factors, no anomalous dispersion.

The 6 most intense peaks (2θ = 10–90°), low angle first:
- d = 8.285 Å, I = 41
- d = 3.143 Å, I = 92
- d = 2.785 Å, I = 100
- d = 2.313 Å, I = 70
- d = 2.085 Å, I = 61
- d = 1.662 Å, I = 41

```
data_NaCo3Bi5
_chemical_formula_sum 'Na1 Co3 Bi5'
_cell_length_a 5.5708
_cell_length_b 5.5708
_cell_length_c 8.2847
_cell_angle_alpha 90.00
_cell_angle_beta 90.00
_cell_angle_gamma 120.00
_space_group_name_H-M_alt 'P 6/m m m'
_space_group_IT_number 191
_space_group_name_Hall '-P 6 2'
loop_
_atom_site_label
_atom_site_fract_x
_atom_site_fract_y
_atom_site_fract_z
Na1 0.0000 0.0000 0.0000
Co1 0.0000 0.5000 0.5000
Bi1 0.0000 0.0000 0.5000
Bi2 0.3333 0.6667 0.2371
```